Theoretical powder diffraction line list
Compound: DyAgPb
Radiation: copper Kα
Structure: a cell relaxed with GGA-PBE
No peak broadening, texture or thermal motion is included.

Main lines, most intense first (2θ = 15–90°):
2θ/deg, I_rel
32.02, 100
37.25, 88
49.91, 29
24.36, 28
63.90, 28
42.03, 27
62.64, 16
67.16, 16
88.16, 12
70.44, 12

```
data_DyAgPb
_space_group_name_H-M_alt 'P 63 m c'
_space_group_IT_number 186
_space_group_name_Hall 'P 6c -2c'
_cell_length_a 4.8281
_cell_length_b 4.8281
_cell_length_c 7.5184
_cell_angle_alpha 90.00
_cell_angle_beta 90.00
_cell_angle_gamma 120.00
loop_
_atom_site_label
_atom_site_fract_x
_atom_site_fract_y
_atom_site_fract_z
Dy1 0.0000 0.0000 0.0000
Ag1 0.3333 0.6667 0.3199
Pb1 0.3333 0.6667 0.7247
```